(1)
For Tl3BiPb3, a GGA-PBE-relaxed structure gives the computed powder XRD pattern in this record (Cu Kα (weighted mean of Kα1 and Kα2)).

The 10 most intense peaks (2θ = 10–90°), by angle:
| 2θ/deg | I (rel.) |
| --- | --- |
| 29.8 | 44.7 |
| 32.1 | 47.3 |
| 32.3 | 100.0 |
| 34.9 | 87.9 |
| 40.0 | 17.0 |
| 52.0 | 37.8 |
| 55.5 | 20.1 |
| 60.7 | 19.4 |
| 62.4 | 43.8 |
| 89.6 | 17.4 |

Atomic structure:
a b c (Å): 11.8834 11.8834 11.8834
angles (deg): 34.46 34.46 34.46
Positions (direct):
Tl  0.1283  0.1283  0.6227
Tl  0.1283  0.6227  0.1283
Tl  0.3773  0.8717  0.8717
Tl  0.6227  0.1283  0.1283
Tl  0.8717  0.3773  0.8717
Tl  0.8717  0.8717  0.3773
Bi  0.2065  0.2065  0.2065
Bi  0.7935  0.7935  0.7935
Pb  0.2121  0.7076  0.7076
Pb  0.2924  0.2924  0.7879
Pb  0.2924  0.7879  0.2924
Pb  0.7076  0.2121  0.7076
Pb  0.7076  0.7076  0.2121
Pb  0.7879  0.2924  0.2924



(2)
For CaTh2Pt9, a GGA-PBE-relaxed structure gives the computed powder XRD pattern in this record (Cu Kα (weighted mean of Kα1 and Kα2)).

The 10 most intense peaks (2θ = 10–90°), by angle:
| 2θ/deg | I (rel.) |
| --- | --- |
| 19.0 | 23.1 |
| 32.7 | 37.4 |
| 38.1 | 27.1 |
| 38.5 | 100.0 |
| 40.3 | 45.1 |
| 41.6 | 88.7 |
| 62.3 | 31.6 |
| 64.5 | 18.6 |
| 68.5 | 28.8 |
| 82.6 | 18.7 |

Atomic structure:
a b c (Å): 9.4879 9.4879 9.4879
angles (deg): 33.55 33.55 33.55
Positions (direct):
Ca  0.0000  0.0000  0.0000
Th  0.1370  0.1370  0.1370
Th  0.8630  0.8630  0.8630
Pt  0.0796  0.5876  0.5876
Pt  0.3328  0.3328  0.3328
Pt  0.4124  0.4124  0.9204
Pt  0.4124  0.9204  0.4124
Pt  0.5000  0.5000  0.5000
Pt  0.5876  0.0796  0.5876
Pt  0.5876  0.5876  0.0796
Pt  0.6672  0.6672  0.6672
Pt  0.9204  0.4124  0.4124



(3)
For ErRe4C2, a GGA-PBE-relaxed structure gives the computed powder XRD pattern in this record (Cu Kα (weighted mean of Kα1 and Kα2)).

The 10 most intense peaks (2θ = 10–90°), by angle:
| 2θ/deg | I (rel.) |
| --- | --- |
| 13.1 | 38.7 |
| 37.9 | 100.0 |
| 39.9 | 19.2 |
| 45.8 | 16.7 |
| 46.0 | 16.5 |
| 46.7 | 13.7 |
| 67.0 | 10.8 |
| 71.2 | 10.9 |
| 79.5 | 12.0 |
| 79.7 | 12.0 |

Atomic structure:
a b c (Å): 7.0554 7.0554 3.9473
angles (deg): 90.00 90.00 147.42
Positions (direct):
Er  0.0000  0.0000  0.0000
Re  0.1751  0.8249  0.5000
Re  0.3164  0.6836  0.0000
Re  0.6836  0.3164  0.0000
Re  0.8249  0.1751  0.5000
C  0.3711  0.6289  0.5000
C  0.6289  0.3711  0.5000



(4)
For LuScSiRh, a GGA-PBE-relaxed structure gives the computed powder XRD pattern in this record (Cu Kα (weighted mean of Kα1 and Kα2)).

The 10 most intense peaks (2θ = 10–90°), by angle:
| 2θ/deg | I (rel.) |
| --- | --- |
| 23.1 | 43.1 |
| 26.7 | 7.0 |
| 38.2 | 100.0 |
| 45.1 | 23.2 |
| 55.1 | 17.0 |
| 60.5 | 9.9 |
| 69.0 | 34.2 |
| 73.8 | 7.4 |
| 81.7 | 10.7 |
| 86.3 | 7.7 |

Atomic structure:
a b c (Å): 4.7161 4.7161 4.7161
angles (deg): 60.00 60.00 60.00
Positions (direct):
Lu  0.0000  0.0000  0.0000
Sc  0.5000  0.5000  0.5000
Si  0.2500  0.2500  0.2500
Rh  0.7500  0.7500  0.7500



(5)
For Mg2ZrAg, a GGA-PBE-relaxed structure gives the computed powder XRD pattern in this record (Cu Kα (weighted mean of Kα1 and Kα2)).

The 10 most intense peaks (2θ = 10–90°), by angle:
| 2θ/deg | I (rel.) |
| --- | --- |
| 19.7 | 40.6 |
| 29.5 | 30.1 |
| 35.7 | 100.0 |
| 40.0 | 18.1 |
| 42.2 | 30.9 |
| 47.0 | 16.1 |
| 50.5 | 12.9 |
| 59.5 | 21.4 |
| 69.9 | 12.9 |
| 72.9 | 22.8 |

Atomic structure:
a b c (Å): 4.2831 4.2831 4.5079
angles (deg): 90.00 90.00 90.00
Positions (direct):
Mg  0.0000  0.5000  0.0000
Mg  0.5000  0.0000  0.0000
Zr  0.0000  0.0000  0.5000
Ag  0.5000  0.5000  0.5000